1.
Simulated X-ray powder pattern of Mg2Ag2F7 for Cu Kα, from a DFT-relaxed cell (GGA-PBE, Alexandria).
Lines closer than 0.1° are merged.

Atomic structure:
```
Mg2Ag2F7
1.0
0.0000 5.2200 5.2200
5.2200 0.0000 5.2200
5.2200 5.2200 0.0000
Mg Ag F
4 4 14
Direct
0.0000 0.0000 0.0000
0.0000 0.0000 0.5000
0.0000 0.5000 0.0000
0.5000 0.0000 0.0000
0.0000 0.5000 0.5000
0.5000 0.0000 0.5000
0.5000 0.5000 0.0000
0.5000 0.5000 0.5000
0.0750 0.0750 0.6750
0.0750 0.6750 0.0750
0.0750 0.6750 0.6750
0.3250 0.3250 0.9250
0.3250 0.9250 0.3250
0.3250 0.9250 0.9250
0.3750 0.3750 0.3750
0.6250 0.6250 0.6250
0.6750 0.0750 0.0750
0.6750 0.0750 0.6750
0.6750 0.6750 0.0750
0.9250 0.3250 0.3250
0.9250 0.3250 0.9250
0.9250 0.9250 0.3250
```

Principal peaks in the range 2θ = 10–80°, in order of rising 2θ:
two_theta  I/Imax
14.70  37
28.35  19
29.64  100
34.36  18
37.55  38
45.13  16
49.38  57
51.81  12
58.66  40
61.54  8
72.42  7
74.38  6


2.
Simulated X-ray powder pattern of MgAg2F8 for Cu Kα, from a DFT-relaxed cell (GGA-PBE, Alexandria).
Lines closer than 0.1° are merged.

Atomic structure:
```
MgAg2F8
1.0
6.5948 0.0000 0.0000
-3.2974 5.7113 0.0000
0.0000 0.0000 4.1942
Mg Ag F
1 2 8
Direct
0.0000 0.0000 0.0000
0.3333 0.6667 0.2424
0.6667 0.3333 0.7576
0.1488 0.8491 0.2538
0.1509 0.2997 0.2538
0.2997 0.1488 0.7462
0.3333 0.6667 0.7441
0.6667 0.3333 0.2559
0.7003 0.8512 0.2538
0.8491 0.7003 0.7462
0.8512 0.1509 0.7462
```

Principal peaks in the range 2θ = 10–80°, in order of rising 2θ:
two_theta  I/Imax
15.52  24
26.36  100
27.04  87
31.32  25
43.14  15
47.36  48
47.78  16
51.65  17
54.27  15
55.76  24
62.70  15
73.00  14


3.
Simulated X-ray powder pattern of Mg3Ag5F12 for Cu Kα, from a DFT-relaxed cell (GGA-PBE, Alexandria).
Lines closer than 0.1° are merged.

Atomic structure:
```
Mg3Ag5F12
1.0
9.9590 0.0000 0.0000
-4.9795 8.6247 0.0000
0.0000 0.0000 3.1462
Mg Ag F
3 5 12
Direct
0.0000 0.6580 0.0000
0.3420 0.3420 0.0000
0.6580 0.0000 0.0000
0.0000 0.2752 0.5000
0.2752 0.0000 0.5000
0.3333 0.6667 0.5000
0.6667 0.3333 0.5000
0.7248 0.7248 0.5000
0.0000 0.5332 0.5000
0.0000 0.7947 0.5000
0.2053 0.2053 0.5000
0.2125 0.4444 0.0000
0.2319 0.7875 0.0000
0.4444 0.2125 0.0000
0.4668 0.4668 0.5000
0.5332 0.0000 0.5000
0.5556 0.7681 0.0000
0.7681 0.5556 0.0000
0.7875 0.2319 0.0000
0.7947 0.0000 0.5000
```

Principal peaks in the range 2θ = 10–80°, in order of rising 2θ:
two_theta  I/Imax
17.81  40
20.60  57
27.36  62
28.37  46
31.11  87
33.70  62
39.82  100
42.60  60
45.86  35
46.51  26
54.81  36
57.02  34


4.
Simulated X-ray powder pattern of Rb4Mg3AgF12 for Cu Kα, from a DFT-relaxed cell (GGA-PBE, Alexandria).
Lines closer than 0.1° are merged.

Atomic structure:
```
Rb4Mg3AgF12
1.0
-4.2140 4.2140 4.2140
4.2140 -4.2140 4.2140
4.2140 4.2140 -4.2140
Rb Mg Ag F
4 3 1 12
Direct
0.0000 0.0000 0.5000
0.0000 0.5000 0.0000
0.5000 0.0000 0.0000
0.5000 0.5000 0.5000
0.0000 0.5000 0.5000
0.5000 0.0000 0.5000
0.5000 0.5000 0.0000
0.0000 0.0000 0.0000
0.0000 0.2654 0.2654
0.0000 0.7346 0.7346
0.2500 0.5000 0.7500
0.2500 0.7500 0.5000
0.2654 0.0000 0.2654
0.2654 0.2654 0.0000
0.5000 0.2500 0.7500
0.5000 0.7500 0.2500
0.7346 0.0000 0.7346
0.7346 0.7346 0.0000
0.7500 0.2500 0.5000
0.7500 0.5000 0.2500
```

Principal peaks in the range 2θ = 10–80°, in order of rising 2θ:
two_theta  I/Imax
14.87  15
25.90  9
29.99  100
33.63  6
36.95  27
40.03  8
42.92  51
53.25  39
62.32  30
70.69  18
74.71  8
78.65  9


5.
Simulated X-ray powder pattern of MgAgRhF6 for Cu Kα, from a DFT-relaxed cell (GGA-PBE, Alexandria).
Lines closer than 0.1° are merged.

Atomic structure:
```
MgAgRhF6
1.0
5.3516 0.0000 0.0000
-2.6758 4.6347 0.0000
0.0000 0.0000 10.5185
Mg Ag Rh F
2 2 2 12
Direct
0.3333 0.6667 0.2500
0.6667 0.3333 0.7500
0.0000 0.0000 0.0000
0.0000 0.0000 0.5000
0.3333 0.6667 0.7500
0.6667 0.3333 0.2500
0.0008 0.3613 0.6472
0.0008 0.6395 0.8528
0.3613 0.0008 0.1472
0.3613 0.3605 0.3528
0.3605 0.3613 0.8528
0.3605 0.9992 0.6472
0.6395 0.0008 0.3528
0.6395 0.6387 0.1472
0.6387 0.6395 0.6472
0.6387 0.9992 0.8528
0.9992 0.3605 0.1472
0.9992 0.6387 0.3528
```

Principal peaks in the range 2θ = 10–80°, in order of rising 2θ:
two_theta  I/Imax
20.95  24
25.62  100
32.01  8
33.49  26
37.72  10
42.64  22
48.54  44
55.27  22
56.09  9
59.87  15
76.25  9
76.95  8